1.
Theoretical powder XRD pattern of Mg4Cd3 for Cu Ka, from a DFT-relaxed cell (PBE, Alexandria).

Peak list (10 most intense, 10 to 90 degrees two-theta, most intense first)
2theta  d [Å]  I/Imax
36.13  2.486  100
25.33  3.516  47
65.02  1.434  24
52.02  1.758  17
44.68  2.028  10
58.78  1.571  8
64.81  1.438  8
58.65  1.574  8
87.87  1.111  7
87.71  1.113  6

Structural model:
a = 7.854 Å, b = 7.854 Å, c = 7.854 Å
α = 113.53°, β = 113.53°, γ = 113.53°
Fractional coordinates of all 14 atoms:
Mg1 0.000 0.000 0.000
Mg2 0.068 0.625 0.771
Mg3 0.229 0.932 0.375
Mg4 0.375 0.229 0.932
Mg5 0.500 0.500 0.500
Mg6 0.625 0.771 0.068
Mg7 0.771 0.068 0.625
Mg8 0.932 0.375 0.229
Cd1 0.131 0.266 0.547
Cd2 0.266 0.547 0.131
Cd3 0.453 0.869 0.734
Cd4 0.547 0.131 0.266
Cd5 0.734 0.453 0.869
Cd6 0.869 0.734 0.453

=====

2.
Theoretical powder XRD pattern of TaVNi for Cu Ka, from a DFT-relaxed cell (PBE, Alexandria).

Peak list (10 most intense, 10 to 90 degrees two-theta, most intense first)
2theta  d [Å]  I/Imax
36.40  2.468  100
42.95  2.106  74
43.66  2.073  57
42.58  2.123  34
42.82  2.112  34
21.90  4.058  29
77.31  1.234  29
37.29  2.411  28
71.12  1.326  23
36.20  2.482  21

Structural model:
a = 4.823 Å, b = 4.963 Å, c = 7.048 Å
α = 90.00°, β = 90.00°, γ = 90.00°
Fractional coordinates of all 12 atoms:
Ta1 0.000 0.250 0.122
Ta2 0.000 0.750 0.878
Ta3 0.500 0.250 0.378
Ta4 0.500 0.750 0.622
V1 0.250 0.250 0.750
V2 0.250 0.750 0.250
V3 0.750 0.250 0.750
V4 0.750 0.750 0.250
Ni1 0.000 0.000 0.500
Ni2 0.000 0.500 0.500
Ni3 0.500 0.000 0.000
Ni4 0.500 0.500 0.000

=====

3.
Theoretical powder XRD pattern of TiNb2BiBr for Cu Ka, from a DFT-relaxed cell (PBE, Alexandria).

Peak list (10 most intense, 10 to 90 degrees two-theta, most intense first)
2theta  d [Å]  I/Imax
32.46  2.758  100
37.20  2.417  73
26.54  3.358  73
54.66  1.679  47
46.28  1.962  34
38.57  2.334  33
64.10  1.453  28
53.62  1.709  25
67.98  1.379  24
26.07  3.418  14

Structural model:
a = 4.834 Å, b = 4.834 Å, c = 4.669 Å
α = 90.00°, β = 90.00°, γ = 90.00°
Fractional coordinates of all 5 atoms:
Ti1 0.000 0.000 0.000
Nb1 0.000 0.500 0.500
Nb2 0.500 0.000 0.500
Bi1 0.500 0.500 0.000
Br1 0.000 0.000 0.500

=====

4.
Theoretical powder XRD pattern of PmSeIO4 for Cu Ka, from a DFT-relaxed cell (PBE, Alexandria).

Peak list (10 most intense, 10 to 90 degrees two-theta, most intense first)
2theta  d [Å]  I/Imax
24.52  3.630  100
34.40  2.607  54
28.58  3.123  49
26.11  3.412  39
28.33  3.150  38
36.13  2.486  30
12.97  6.825  29
31.90  2.805  29
33.77  2.654  23
45.75  1.983  20

Structural model:
a = 6.504 Å, b = 6.504 Å, c = 7.022 Å
α = 101.27°, β = 101.27°, γ = 67.86°
Fractional coordinates of all 14 atoms:
Pm1 0.244 0.244 0.146
Pm2 0.756 0.756 0.854
Se1 0.366 0.366 0.740
Se2 0.634 0.634 0.260
I1 0.024 0.024 0.753
I2 0.976 0.976 0.247
O1 0.137 0.490 0.862
O2 0.295 0.295 0.504
O3 0.478 0.478 0.224
O4 0.490 0.137 0.862
O5 0.510 0.863 0.138
O6 0.522 0.522 0.776
O7 0.705 0.705 0.496
O8 0.863 0.510 0.138

=====

5.
Theoretical powder XRD pattern of ErSc3Sb4 for Cu Ka, from a DFT-relaxed cell (PBE, Alexandria).

Peak list (10 most intense, 10 to 90 degrees two-theta, most intense first)
2theta  d [Å]  I/Imax
29.98  2.981  100
42.91  2.108  74
70.66  1.333  32
53.23  1.721  26
78.62  1.217  24
62.30  1.490  12
14.86  5.962  12
21.07  4.216  11
25.89  3.442  10
33.61  2.666  7

Structural model:
a = 5.962 Å, b = 5.962 Å, c = 5.962 Å
α = 90.00°, β = 90.00°, γ = 90.00°
Fractional coordinates of all 8 atoms:
Er1 0.000 0.000 0.000
Sc1 0.000 0.500 0.500
Sc2 0.500 0.000 0.500
Sc3 0.500 0.500 0.000
Sb1 0.000 0.000 0.500
Sb2 0.000 0.500 0.000
Sb3 0.500 0.000 0.000
Sb4 0.500 0.500 0.500

=====

6.
Theoretical powder XRD pattern of PuScZnAu for Cu Ka, from a DFT-relaxed cell (PBE, Alexandria).

Peak list (10 most intense, 10 to 90 degrees two-theta, most intense first)
2theta  d [Å]  I/Imax
36.12  2.487  100
21.89  4.061  39
64.95  1.436  36
42.63  2.121  22
52.01  1.758  18
87.77  1.112  17
76.64  1.243  11
57.08  1.614  10
80.85  1.189  8
69.43  1.354  8

Structural model:
a = 7.034 Å, b = 7.034 Å, c = 7.034 Å
α = 90.00°, β = 90.00°, γ = 90.00°
Fractional coordinates of all 16 atoms:
Pu1 0.000 0.000 0.000
Pu2 0.000 0.500 0.500
Pu3 0.500 0.000 0.500
Pu4 0.500 0.500 0.000
Sc1 0.000 0.000 0.500
Sc2 0.000 0.500 0.000
Sc3 0.500 0.000 0.000
Sc4 0.500 0.500 0.500
Zn1 0.250 0.250 0.250
Zn2 0.250 0.750 0.750
Zn3 0.750 0.250 0.750
Zn4 0.750 0.750 0.250
Au1 0.250 0.250 0.750
Au2 0.250 0.750 0.250
Au3 0.750 0.250 0.250
Au4 0.750 0.750 0.750

=====

7.
Theoretical powder XRD pattern of Ac2TcB10 for Cu Ka, from a DFT-relaxed cell (PBE, Alexandria).

Peak list (10 most intense, 10 to 90 degrees two-theta, most intense first)
2theta  d [Å]  I/Imax
29.83  2.996  100
36.95  2.433  86
21.30  4.171  80
47.53  1.913  28
30.31  2.949  28
53.55  1.711  27
20.63  4.305  26
43.39  2.085  26
66.31  1.410  20
48.83  1.865  20

Structural model:
a = 5.905 Å, b = 11.785 Å, c = 4.305 Å
α = 90.00°, β = 90.00°, γ = 90.00°
Fractional coordinates of all 26 atoms:
Ac1 0.217 0.134 0.000
Ac2 0.283 0.634 0.000
Ac3 0.717 0.366 0.000
Ac4 0.783 0.866 0.000
Tc1 0.000 0.500 0.500
Tc2 0.500 0.000 0.500
B1 0.065 0.308 0.500
B2 0.120 0.956 0.500
B3 0.132 0.803 0.500
B4 0.223 0.382 0.204
B5 0.223 0.382 0.796
B6 0.277 0.882 0.204
B7 0.277 0.882 0.796
B8 0.368 0.303 0.500
B9 0.380 0.456 0.500
B10 0.435 0.808 0.500
B11 0.565 0.192 0.500
B12 0.620 0.544 0.500
B13 0.632 0.697 0.500
B14 0.723 0.118 0.204
B15 0.723 0.118 0.796
B16 0.777 0.618 0.204
B17 0.777 0.618 0.796
B18 0.868 0.197 0.500
B19 0.880 0.044 0.500
B20 0.935 0.692 0.500

=====

8.
Theoretical powder XRD pattern of ZnHg15 for Cu Ka, from a DFT-relaxed cell (PBE, Alexandria).

Peak list (10 most intense, 10 to 90 degrees two-theta, most intense first)
2theta  d [Å]  I/Imax
33.78  2.654  100
25.73  3.462  36
45.38  1.999  27
57.75  1.596  16
64.92  1.436  13
76.34  1.247  12
36.00  2.495  11
43.82  2.066  9
35.06  2.559  9
51.51  1.774  8

Structural model:
a = 7.995 Å, b = 7.995 Å, c = 8.264 Å
α = 90.00°, β = 90.00°, γ = 120.00°
Fractional coordinates of all 16 atoms:
Zn1 0.000 0.000 0.000
Hg1 0.000 0.000 0.500
Hg2 0.040 0.520 0.000
Hg3 0.310 0.155 0.226
Hg4 0.310 0.155 0.774
Hg5 0.333 0.667 0.300
Hg6 0.333 0.667 0.700
Hg7 0.480 0.520 0.000
Hg8 0.480 0.960 0.000
Hg9 0.530 0.059 0.500
Hg10 0.530 0.470 0.500
Hg11 0.845 0.155 0.226
Hg12 0.845 0.155 0.774
Hg13 0.845 0.690 0.226
Hg14 0.845 0.690 0.774
Hg15 0.941 0.470 0.500

=====

9.
Theoretical powder XRD pattern of Ga2PbCl6 for Cu Ka, from a DFT-relaxed cell (PBE, Alexandria).

Peak list (10 most intense, 10 to 90 degrees two-theta, most intense first)
2theta  d [Å]  I/Imax
12.24  7.233  100
24.35  3.655  87
13.20  6.707  84
29.35  3.043  79
15.45  5.735  70
19.56  4.538  68
16.71  5.306  54
29.78  3.000  43
26.82  3.324  42
30.96  2.888  41

Structural model:
a = 9.905 Å, b = 9.905 Å, c = 6.699 Å
α = 95.20°, β = 95.20°, γ = 85.24°
Fractional coordinates of all 18 atoms:
Ga1 0.006 0.163 0.262
Ga2 0.163 0.006 0.762
Ga3 0.837 0.994 0.238
Ga4 0.994 0.837 0.738
Pb1 0.417 0.583 0.750
Pb2 0.583 0.417 0.250
Cl1 0.059 0.636 0.826
Cl2 0.098 0.205 0.600
Cl3 0.205 0.098 0.100
Cl4 0.331 0.449 0.367
Cl5 0.364 0.941 0.674
Cl6 0.449 0.331 0.867
Cl7 0.551 0.669 0.133
Cl8 0.636 0.059 0.326
Cl9 0.669 0.551 0.633
Cl10 0.795 0.902 0.900
Cl11 0.902 0.795 0.400
Cl12 0.941 0.364 0.174

=====

10.
Theoretical powder XRD pattern of Tl2Co2Si for Cu Ka, from a DFT-relaxed cell (PBE, Alexandria).

Peak list (10 most intense, 10 to 90 degrees two-theta, most intense first)
2theta  d [Å]  I/Imax
27.18  3.281  100
43.67  2.073  93
37.45  2.402  87
30.94  2.890  67
20.57  4.317  36
68.40  1.371  30
54.96  1.671  30
41.85  2.159  29
38.09  2.363  27
55.20  1.664  26

Structural model:
a = 3.341 Å, b = 3.341 Å, c = 17.270 Å
α = 90.00°, β = 90.00°, γ = 90.00°
Fractional coordinates of all 10 atoms:
Tl1 0.000 0.000 0.116
Tl2 0.000 0.000 0.884
Tl3 0.500 0.500 0.384
Tl4 0.500 0.500 0.616
Co1 0.000 0.500 0.250
Co2 0.000 0.500 0.750
Co3 0.500 0.000 0.250
Co4 0.500 0.000 0.750
Si1 0.000 0.000 0.500
Si2 0.500 0.500 0.000